NaZnAsH4O6: computed X-ray diffraction stick pattern (Cu Kα (weighted mean of Kα1 and Kα2)), based on a PBE-relaxed structure.

Crystal structure
```
data_NaZnAsH4O6
_symmetry_space_group_name_H-M 'P 1'
_symmetry_Int_Tables_number 1
_cell_length_a 5.779
_cell_length_b 6.207
_cell_length_c 8.060
_cell_angle_alpha 91.61
_cell_angle_beta 93.76
_cell_angle_gamma 91.49
loop_
_symmetry_equiv_pos_as_xyz
'x,y,z'
loop_
_atom_site_label
_atom_site_type_symbol
_atom_site_fract_x
_atom_site_fract_y
_atom_site_fract_z
_atom_site_occupancy
Na1 Na 0.000 0.000 0.000 1
Na2 Na 0.500 0.500 0.000 1
Zn1 Zn 0.199 0.250 0.609 1
Zn2 Zn 0.801 0.750 0.391 1
As1 As 0.313 0.755 0.616 1
As2 As 0.687 0.245 0.384 1
H1 H 0.033 0.405 0.152 1
H2 H 0.249 0.296 0.234 1
H3 H 0.367 0.888 0.962 1
H4 H 0.449 0.900 0.154 1
H5 H 0.551 0.100 0.846 1
H6 H 0.633 0.112 0.038 1
H7 H 0.751 0.704 0.766 1
H8 H 0.967 0.595 0.848 1
O1 O 0.139 0.767 0.438 1
O2 O 0.169 0.322 0.123 1
O3 O 0.249 0.535 0.735 1
O4 O 0.284 0.987 0.743 1
O5 O 0.340 0.825 0.070 1
O6 O 0.397 0.254 0.418 1
O7 O 0.603 0.746 0.582 1
O8 O 0.660 0.175 0.930 1
O9 O 0.716 0.013 0.257 1
O10 O 0.751 0.465 0.265 1
O11 O 0.831 0.678 0.877 1
O12 O 0.861 0.233 0.562 1
```

Top 10 peaks for 2θ from 10° to 90°, sorted by position:
11.01°, I 100, hkl 0 0 1; 18.33°, I 36, hkl 1 0 -1; 19.54°, I 34, hkl 1 0 1; 26.17°, I 38, hkl 1 0 -2; 27.89°, I 34, hkl 1 0 2; 28.79°, I 29, hkl 0 2 0; 29.82°, I 16, hkl 1 1 -2; 30.59°, I 19, hkl 0 2 -1; 30.99°, I 34, hkl 2 0 0; 31.22°, I 32, hkl 0 2 1

RbNaAsH: computed X-ray diffraction stick pattern (Cu Kα (weighted mean of Kα1 and Kα2)), based on a PBE-relaxed structure.

Crystal structure
```
data_RbNaAsH
_symmetry_space_group_name_H-M 'P 1'
_symmetry_Int_Tables_number 1
_cell_length_a 5.200
_cell_length_b 5.200
_cell_length_c 4.642
_cell_angle_alpha 90.00
_cell_angle_beta 90.00
_cell_angle_gamma 120.00
loop_
_symmetry_equiv_pos_as_xyz
'x,y,z'
loop_
_atom_site_label
_atom_site_type_symbol
_atom_site_fract_x
_atom_site_fract_y
_atom_site_fract_z
_atom_site_occupancy
Rb1 Rb 0.000 0.000 0.000 1
Na1 Na 0.333 0.667 0.495 1
As1 As 0.667 0.333 0.490 1
H1 H 0.667 0.333 0.828 1
```

Top 10 peaks for 2θ from 10° to 90°, sorted by position:
19.71°, I 19, hkl 1 0 0; 27.60°, I 100, hkl 1 0 1; 34.49°, I 48, hkl 1 1 0; 38.80°, I 11, hkl 0 0 2; 44.73°, I 26, hkl 0 2 1; 52.88°, I 27, hkl 1 1 2; 57.68°, I 24, hkl 2 1 1; 63.58°, I 9, hkl 1 0 3; 75.41°, I 9, hkl 3 0 2; 79.46°, I 10, hkl 1 3 1

RbNa2As2H2: computed X-ray diffraction stick pattern (Cu Kα (weighted mean of Kα1 and Kα2)), based on a PBE-relaxed structure.

Crystal structure
```
data_RbNa2As2H2
_symmetry_space_group_name_H-M 'P 1'
_symmetry_Int_Tables_number 1
_cell_length_a 6.140
_cell_length_b 5.834
_cell_length_c 9.395
_cell_angle_alpha 90.00
_cell_angle_beta 105.23
_cell_angle_gamma 90.00
loop_
_symmetry_equiv_pos_as_xyz
'x,y,z'
loop_
_atom_site_label
_atom_site_type_symbol
_atom_site_fract_x
_atom_site_fract_y
_atom_site_fract_z
_atom_site_occupancy
Rb1 Rb 0.000 0.000 0.000 1
Rb2 Rb 0.500 0.500 0.000 1
Na1 Na 0.250 0.000 0.379 1
Na2 Na 0.250 0.500 0.621 1
Na3 Na 0.750 0.000 0.621 1
Na4 Na 0.750 0.500 0.379 1
As1 As 0.209 0.500 0.288 1
As2 As 0.291 0.000 0.712 1
As3 As 0.709 0.000 0.288 1
As4 As 0.791 0.500 0.712 1
H1 H 0.013 0.500 0.143 1
H2 H 0.487 0.000 0.857 1
H3 H 0.513 0.000 0.143 1
H4 H 0.987 0.500 0.857 1
```

Top 10 peaks for 2θ from 10° to 90°, sorted by position:
25.16°, I 100, hkl 1 1 1; 26.29°, I 42, hkl 1 1 -2; 29.15°, I 43, hkl 2 0 -1; 29.56°, I 37, hkl 0 0 3; 30.65°, I 61, hkl 0 2 0; 33.29°, I 52, hkl 1 1 -3; 42.81°, I 29, hkl 2 2 -1; 43.11°, I 26, hkl 0 2 3; 51.68°, I 25, hkl 2 2 2; 61.32°, I 24, hkl 1 1 -6